# 1
The following is a computed X-ray diffraction stick pattern of La2PrP3. It was derived from a cell relaxed with GGA-PBE, using a wavelength of 1.5418 Å.
Neutral-atom scattering factors, no anomalous dispersion.

Most intense lines, 2θ = 10–90°, by angle:
2theta	d/Å	Rel. int.
25.7	3.470	75.8
29.7	3.005	100.0
42.5	2.125	73.7
50.4	1.812	38.1
52.8	1.735	25.9
68.0	1.379	15.4
70.0	1.344	33.1
77.9	1.227	24.7

Atomic structure:
```
La2PrP3
1.0
4.2506 0.0000 0.0000
-2.1253 3.6811 0.0000
0.0000 0.0000 10.4053
La Pr P
2 1 3
Cartesian
0.0000 2.4541 3.4538
2.1253 1.2270 6.9515
0.0000 0.0000 0.0000
0.0000 0.0000 5.2026
0.0000 2.4541 8.6888
2.1253 1.2270 1.7165
```


# 2
The following is a computed X-ray diffraction stick pattern of GdTe2PbAuS. It was derived from a cell relaxed with GGA-PBE, using a wavelength of 1.5418 Å.
Neutral-atom scattering factors, no anomalous dispersion.

Most intense lines, 2θ = 10–90°, by angle:
2theta	d/Å	Rel. int.
27.6	3.236	72.2
28.9	3.092	73.2
29.7	3.013	36.4
32.6	2.750	100.0
33.7	2.658	52.8
34.4	2.606	42.1
40.9	2.205	52.6
42.0	2.149	43.8

Atomic structure:
```
GdTe2PbAuS
1.0
2.1489 -7.3840 0.0000
2.1489 7.3840 0.0000
0.0000 0.0000 10.4237
Gd Te Pb Au S
2 4 2 2 2
Cartesian
0.0000 0.0000 0.0000
0.0000 0.0000 5.2118
2.1489 2.2315 5.8080
2.1489 2.2315 9.8275
2.1489 -2.2315 0.5962
2.1489 -2.2315 4.6157
2.1489 3.4343 2.6059
2.1489 -3.4343 7.8177
2.1489 0.3048 7.8177
2.1489 -0.3048 2.6059
2.1489 6.2469 7.8177
2.1489 -6.2469 2.6059
```


# 3
The following is a computed X-ray diffraction stick pattern of Pu4C2Br5. It was derived from a cell relaxed with GGA-PBE, using a wavelength of 1.5418 Å.
Neutral-atom scattering factors, no anomalous dispersion.

Most intense lines, 2θ = 10–90°, by angle:
2theta	d/Å	Rel. int.
11.2	7.926	81.2
28.6	3.124	37.2
29.4	3.040	72.1
30.9	2.890	32.0
32.2	2.783	100.0
44.0	2.060	41.0
44.3	2.046	39.0
56.8	1.621	25.7

Atomic structure:
```
Pu4C2Br5
1.0
9.3243 -1.9156 0.0000
9.3243 1.9156 0.0000
-1.6810 0.0000 7.9255
Pu C Br
4 2 5
Cartesian
-0.3241 0.0000 1.5485
17.2917 0.0000 6.3770
4.7664 0.0000 7.2899
12.2011 0.0000 0.6356
6.9382 0.0000 7.7801
10.0293 0.0000 0.1454
2.4246 0.0000 2.7539
1.7486 0.0000 6.4108
8.4838 0.0000 3.9628
15.2190 0.0000 1.5148
14.5430 0.0000 5.1716
```


Number 2 is which compound? GdTe2PbAuS